1.
Calculated XRD peak list of BaGe4As7 for Cu Ka, from the GGA-PBE geometry in Alexandria.
Neutral-atom scattering factors, no anomalous dispersion.

Structure:
Unit cell a=14.319 b=6.543 c=6.380 alpha=90.00 beta=90.00 gamma=90.00
Fractional coordinates of all 24 atoms:
Ba (0.000, 0.151, 0.000)
Ba (0.500, 0.849, 0.500)
Ge (0.118, 0.679, 0.653)
Ge (0.247, 0.180, 0.643)
Ge (0.253, 0.820, 0.143)
Ge (0.382, 0.321, 0.153)
Ge (0.618, 0.321, 0.153)
Ge (0.747, 0.820, 0.143)
Ge (0.753, 0.180, 0.643)
Ge (0.882, 0.679, 0.653)
As (0.000, 0.901, 0.489)
As (0.095, 0.329, 0.495)
As (0.101, 0.648, 0.038)
As (0.230, 0.184, 0.036)
As (0.270, 0.816, 0.536)
As (0.399, 0.352, 0.538)
As (0.405, 0.671, 0.995)
As (0.500, 0.099, 0.989)
As (0.595, 0.671, 0.995)
As (0.601, 0.352, 0.538)
As (0.730, 0.816, 0.536)
As (0.770, 0.184, 0.036)
As (0.899, 0.648, 0.038)
As (0.905, 0.329, 0.495)

Principal peaks in the range 5° ≤ 2θ ≤ 70°, by angle:
- hkl 0 2 0, 27.26°, 3.271 Å, intensity 40
- hkl 0 0 2, 27.97°, 3.190 Å, intensity 100
- hkl 4 1 0, 28.42°, 3.140 Å, intensity 75
- hkl 0 2 1, 30.71°, 2.912 Å, intensity 87
- hkl 4 1 1, 31.77°, 2.816 Å, intensity 87
- hkl 4 3 0, 48.90°, 1.863 Å, intensity 51
- hkl 0 2 3, 51.24°, 1.783 Å, intensity 39
- hkl 4 1 3, 51.93°, 1.761 Å, intensity 61


2.
Calculated XRD peak list of Ru7C5 for Cu Ka, from the GGA-PBE geometry in Alexandria.
Neutral-atom scattering factors, no anomalous dispersion.

Structure:
Unit cell a=5.569 b=5.785 c=5.889 alpha=82.00 beta=62.87 gamma=71.05
Fractional coordinates of all 12 atoms:
Ru (0.000, 0.000, 0.000)
Ru (0.070, 0.714, 0.372)
Ru (0.197, 0.426, 0.732)
Ru (0.288, 0.018, 0.475)
Ru (0.481, 0.385, 0.017)
Ru (0.579, 0.977, 0.751)
Ru (0.707, 0.698, 0.103)
C (0.246, 0.354, 0.378)
C (0.375, 0.766, 0.014)
C (0.707, 0.905, 0.357)
C (0.864, 0.351, 0.993)
C (0.989, 0.823, 0.730)

Principal peaks in the range 5° ≤ 2θ ≤ 70°, by angle:
- hkl 0 1 -1, 23.38°, 3.804 Å, intensity 57
- hkl 2 1 1, 32.60°, 2.747 Å, intensity 54
- hkl 0 2 1, 37.25°, 2.414 Å, intensity 71
- hkl -1 1 1, 37.46°, 2.401 Å, intensity 88
- hkl 1 -1 2, 37.56°, 2.395 Å, intensity 100
- hkl 2 2 1, 39.03°, 2.308 Å, intensity 78
- hkl 1 1 3, 48.06°, 1.893 Å, intensity 54
- hkl 0 3 0, 50.02°, 1.823 Å, intensity 50


3.
Calculated XRD peak list of Ac2Ho6Er for Cu Ka, from the GGA-PBE geometry in Alexandria.
Neutral-atom scattering factors, no anomalous dispersion.

Structure:
Unit cell a=8.746 b=3.621 c=10.037 alpha=90.00 beta=101.90 gamma=90.00
Fractional coordinates of all 9 atoms:
Ac (0.194, 0.000, 0.462)
Ac (0.806, 0.000, 0.538)
Ho (0.123, 0.500, 0.786)
Ho (0.183, 0.000, 0.098)
Ho (0.480, 0.500, 0.323)
Ho (0.520, 0.500, 0.677)
Ho (0.817, 0.000, 0.902)
Ho (0.877, 0.500, 0.214)
Er (0.500, 0.500, 0.000)

Principal peaks in the range 5° ≤ 2θ ≤ 70°, by angle:
- hkl 1 1 0, 26.73°, 3.335 Å, intensity 23
- hkl 2 0 -3, 30.74°, 2.909 Å, intensity 100
- hkl 1 0 3, 31.20°, 2.867 Å, intensity 80
- hkl 3 0 0, 31.36°, 2.853 Å, intensity 51
- hkl 2 1 0, 32.41°, 2.762 Å, intensity 79
- hkl 1 1 -3, 36.90°, 2.436 Å, intensity 26
- hkl 4 1 -3, 52.50°, 1.743 Å, intensity 23
- hkl 1 2 3, 60.53°, 1.530 Å, intensity 35